This entry pairs a crystal structure of Bi2Pd3O8 with its simulated X-ray diffraction stick pattern. Radiation: Cu Kα. Structure: a crystal structure in Alexandria, relaxed with PBE.
Lines closer than 0.1° are merged.

Main lines, by angle (15 to 90 degrees two-theta):
| index | two_theta | I/Imax |
| --- | --- | --- |
| 1 1 -1 | 21.7 | 46 |
| 1 1 1 | 26.0 | 74 |
| 3 1 -1 | 28.6 | 100 |
| 3 1 0 | 28.8 | 39 |
| 2 2 0 | 33.3 | 48 |
| 0 2 1 | 33.6 | 38 |
| 6 0 -2 | 50.8 | 49 |
| 4 2 1 | 52.7 | 37 |

Crystal structure
Unit cell a=11.4876 b=6.2313 c=5.4992 alpha=90.00 beta=110.90 gamma=90.00
Space group C2/m (No. 12)
Unique sites:
Bi1 0.2158 0.0000 0.1650 (multiplicity 4)
Pd1 0.0000 0.2463 0.5000 (multiplicity 4)
Pd2 0.0000 0.5000 0.0000 (multiplicity 2)
O1 0.0954 0.5000 0.4083 (multiplicity 4)
O2 0.1011 0.0000 0.4301 (multiplicity 4)
O3 0.1146 0.2747 0.8993 (multiplicity 8)